Record 1
Diffraction record for MgCo5. The powder diffraction line list is calculated, not measured: it uses DFT lattice parameters and positions (PBE) and a wavelength of 1.5418 Å.
Lines closer than 0.1° are merged.

The 10 most intense peaks (10° ≤ 2θ ≤ 80°), low angle first:
2θ (°), Rel. int.
13.21, 22
40.39, 12
40.72, 28
43.80, 41
46.20, 52
46.50, 100
61.09, 6
61.33, 15
73.66, 14
74.34, 8

Structure:
```
data_MgCo5
_symmetry_space_group_name_H-M 'P 1'
_symmetry_Int_Tables_number 1
_cell_length_a 4.1342
_cell_length_b 6.8204
_cell_length_c 6.8204
_cell_angle_alpha 21.57
_cell_angle_beta 90.00
_cell_angle_gamma 90.00
loop_
_symmetry_equiv_pos_as_xyz
'x,y,z'
loop_
_atom_site_label
_atom_site_type_symbol
_atom_site_fract_x
_atom_site_fract_y
_atom_site_fract_z
_atom_site_occupancy
Mg1 Mg 0.0000 0.0000 0.0000 1
Co1 Co 0.0000 0.3261 0.3261 1
Co2 Co 0.0000 0.6743 0.6743 1
Co3 Co 0.5000 0.1153 0.1153 1
Co4 Co 0.5000 0.4353 0.4353 1
Co5 Co 0.5000 0.7776 0.7776 1
```

---

Record 2
Diffraction record for Ir2Pt2C. The powder diffraction line list is calculated, not measured: it uses DFT lattice parameters and positions (PBE) and a wavelength of 1.5418 Å.
Lines closer than 0.1° are merged.

The 10 most intense peaks (10° ≤ 2θ ≤ 80°), low angle first:
2θ (°), Rel. int.
23.08, 8
32.87, 29
36.43, 35
41.33, 100
49.88, 19
53.15, 10
66.16, 10
68.90, 23
73.78, 8
74.30, 25

Structure:
```
data_Ir2Pt2C
_symmetry_space_group_name_H-M 'P 1'
_symmetry_Int_Tables_number 1
_cell_length_a 5.4490
_cell_length_b 5.4490
_cell_length_c 4.9320
_cell_angle_alpha 90.00
_cell_angle_beta 90.00
_cell_angle_gamma 90.00
loop_
_symmetry_equiv_pos_as_xyz
'x,y,z'
loop_
_atom_site_label
_atom_site_type_symbol
_atom_site_fract_x
_atom_site_fract_y
_atom_site_fract_z
_atom_site_occupancy
Ir1 Ir 0.1708 0.3292 0.0000 1
Ir2 Ir 0.3292 0.8292 0.0000 1
Ir3 Ir 0.6708 0.1708 0.0000 1
Ir4 Ir 0.8292 0.6708 0.0000 1
Pt1 Pt 0.1789 0.6789 0.5000 1
Pt2 Pt 0.3211 0.1789 0.5000 1
Pt3 Pt 0.6789 0.8211 0.5000 1
Pt4 Pt 0.8211 0.3211 0.5000 1
C1 C 0.0000 0.0000 0.5000 1
C2 C 0.5000 0.5000 0.5000 1
```

---

Record 3
Diffraction record for FeCuPd3. The powder diffraction line list is calculated, not measured: it uses DFT lattice parameters and positions (PBE) and a wavelength of 1.5418 Å.
Lines closer than 0.1° are merged.

The 10 most intense peaks (10° ≤ 2θ ≤ 80°), low angle first:
2θ (°), Rel. int.
29.59, 2
32.43, 5
32.93, 4
40.71, 100
40.84, 33
45.74, 48
50.59, 16
66.68, 15
70.44, 11
70.68, 12

Structure:
```
data_FeCuPd3
_symmetry_space_group_name_H-M 'P 1'
_symmetry_Int_Tables_number 1
_cell_length_a 5.7593
_cell_length_b 5.7593
_cell_length_c 9.1670
_cell_angle_alpha 98.62
_cell_angle_beta 98.62
_cell_angle_gamma 28.20
loop_
_symmetry_equiv_pos_as_xyz
'x,y,z'
loop_
_atom_site_label
_atom_site_type_symbol
_atom_site_fract_x
_atom_site_fract_y
_atom_site_fract_z
_atom_site_occupancy
Fe1 Fe 0.1531 0.1531 0.4618 1
Fe2 Fe 0.8469 0.8469 0.5382 1
Cu1 Cu 0.0502 0.0502 0.1463 1
Cu2 Cu 0.9498 0.9498 0.8537 1
Pd1 Pd 0.2592 0.2592 0.7404 1
Pd2 Pd 0.3555 0.3555 0.0502 1
Pd3 Pd 0.4588 0.4588 0.3494 1
Pd4 Pd 0.5412 0.5412 0.6506 1
Pd5 Pd 0.6445 0.6445 0.9498 1
Pd6 Pd 0.7408 0.7408 0.2596 1
```

---

Record 4
Diffraction record for MnBPdAuI. The powder diffraction line list is calculated, not measured: it uses DFT lattice parameters and positions (PBE) and a wavelength of 1.5418 Å.
Lines closer than 0.1° are merged.

The 10 most intense peaks (10° ≤ 2θ ≤ 80°), low angle first:
2θ (°), Rel. int.
12.31, 79
24.76, 44
27.70, 85
28.66, 43
29.14, 100
34.39, 77
34.66, 88
39.29, 41
46.17, 43
46.41, 52

Structure:
```
data_MnBPdAuI
_symmetry_space_group_name_H-M 'P 1'
_symmetry_Int_Tables_number 1
_cell_length_a 4.2191
_cell_length_b 3.3881
_cell_length_c 7.4291
_cell_angle_alpha 90.00
_cell_angle_beta 104.56
_cell_angle_gamma 90.00
loop_
_symmetry_equiv_pos_as_xyz
'x,y,z'
loop_
_atom_site_label
_atom_site_type_symbol
_atom_site_fract_x
_atom_site_fract_y
_atom_site_fract_z
_atom_site_occupancy
Mn1 Mn 0.0000 0.0000 0.0000 1
B1 B 0.8858 0.5000 0.8040 1
Pd1 Pd 0.7073 0.0000 0.6383 1
Au1 Au 0.4235 0.5000 0.8911 1
I1 I 0.1082 0.0000 0.3622 1
```

---

Record 5
Diffraction record for Rb7Au2IO2. The powder diffraction line list is calculated, not measured: it uses DFT lattice parameters and positions (PBE) and a wavelength of 1.5418 Å.
Lines closer than 0.1° are merged.

The 10 most intense peaks (10° ≤ 2θ ≤ 80°), low angle first:
2θ (°), Rel. int.
20.39, 52
22.35, 61
24.47, 48
24.59, 49
25.25, 58
27.27, 49
29.61, 73
31.41, 100
33.89, 47
35.85, 53

Structure:
```
data_Rb7Au2IO2
_symmetry_space_group_name_H-M 'P 1'
_symmetry_Int_Tables_number 1
_cell_length_a 13.9778
_cell_length_b 13.9778
_cell_length_c 13.9778
_cell_angle_alpha 159.35
_cell_angle_beta 37.74
_cell_angle_gamma 148.76
loop_
_symmetry_equiv_pos_as_xyz
'x,y,z'
loop_
_atom_site_label
_atom_site_type_symbol
_atom_site_fract_x
_atom_site_fract_y
_atom_site_fract_z
_atom_site_occupancy
Rb1 Rb 0.0000 0.0000 0.0000 1
Rb2 Rb 0.0647 0.8583 0.2064 1
Rb3 Rb 0.1843 0.5678 0.6165 1
Rb4 Rb 0.4754 0.5645 0.9110 1
Rb5 Rb 0.6519 0.8583 0.7936 1
Rb6 Rb 0.6535 0.5645 0.0890 1
Rb7 Rb 0.9513 0.5678 0.3835 1
Au1 Au 0.1467 0.3495 0.7972 1
Au2 Au 0.5523 0.3495 0.2028 1
I1 I 0.3761 0.8761 0.5000 1
O1 O 0.0044 0.9012 0.1032 1
O2 O 0.7980 0.9012 0.8968 1
```

---

Record 6
Diffraction record for ScU4P6. The powder diffraction line list is calculated, not measured: it uses DFT lattice parameters and positions (PBE) and a wavelength of 1.5418 Å.
Lines closer than 0.1° are merged.

The 10 most intense peaks (10° ≤ 2θ ≤ 80°), low angle first:
2θ (°), Rel. int.
23.33, 46
26.03, 92
28.81, 100
33.06, 36
35.48, 39
39.22, 40
44.63, 31
50.53, 32
50.84, 28
51.03, 28

Structure:
```
data_ScU4P6
_symmetry_space_group_name_H-M 'P 1'
_symmetry_Int_Tables_number 1
_cell_length_a 7.6253
_cell_length_b 7.6253
_cell_length_c 7.6253
_cell_angle_alpha 89.42
_cell_angle_beta 89.42
_cell_angle_gamma 89.42
loop_
_symmetry_equiv_pos_as_xyz
'x,y,z'
loop_
_atom_site_label
_atom_site_type_symbol
_atom_site_fract_x
_atom_site_fract_y
_atom_site_fract_z
_atom_site_occupancy
Sc1 Sc 0.0000 0.0000 0.0000 1
Sc2 Sc 0.5000 0.5000 0.5000 1
U1 U 0.1321 0.7500 0.3679 1
U2 U 0.2500 0.2500 0.2500 1
U3 U 0.2500 0.6321 0.8679 1
U4 U 0.3679 0.1321 0.7500 1
U5 U 0.6321 0.8679 0.2500 1
U6 U 0.7500 0.3679 0.1321 1
U7 U 0.7500 0.7500 0.7500 1
U8 U 0.8679 0.2500 0.6321 1
P1 P 0.0662 0.9163 0.6817 1
P2 P 0.0837 0.3183 0.9338 1
P3 P 0.1817 0.4163 0.5662 1
P4 P 0.3183 0.9338 0.0837 1
P5 P 0.4163 0.5662 0.1817 1
P6 P 0.4338 0.8183 0.5837 1
P7 P 0.5662 0.1817 0.4163 1
P8 P 0.5837 0.4338 0.8183 1
P9 P 0.6817 0.0662 0.9163 1
P10 P 0.8183 0.5837 0.4338 1
P11 P 0.9163 0.6817 0.0662 1
P12 P 0.9338 0.0837 0.3183 1
```

---

Record 7
Diffraction record for BaThHgI6. The powder diffraction line list is calculated, not measured: it uses DFT lattice parameters and positions (PBE) and a wavelength of 1.5418 Å.
Lines closer than 0.1° are merged.

The 10 most intense peaks (10° ≤ 2θ ≤ 80°), low angle first:
2θ (°), Rel. int.
10.01, 31
12.90, 18
15.56, 85
23.00, 75
28.97, 100
33.41, 31
36.19, 43
36.98, 21
45.08, 17
47.00, 22

Structure:
```
data_BaThHgI6
_symmetry_space_group_name_H-M 'P 1'
_symmetry_Int_Tables_number 1
_cell_length_a 8.5992
_cell_length_b 8.5992
_cell_length_c 17.6809
_cell_angle_alpha 90.00
_cell_angle_beta 90.00
_cell_angle_gamma 120.00
loop_
_symmetry_equiv_pos_as_xyz
'x,y,z'
loop_
_atom_site_label
_atom_site_type_symbol
_atom_site_fract_x
_atom_site_fract_y
_atom_site_fract_z
_atom_site_occupancy
Ba1 Ba 0.3333 0.6667 0.2500 1
Ba2 Ba 0.6667 0.3333 0.7500 1
Th1 Th 0.3333 0.6667 0.7500 1
Th2 Th 0.6667 0.3333 0.2500 1
Hg1 Hg 0.0000 0.0000 0.0000 1
Hg2 Hg 0.0000 0.0000 0.5000 1
I1 I 0.0347 0.3859 0.6469 1
I2 I 0.0347 0.6488 0.8531 1
I3 I 0.3512 0.3859 0.8531 1
I4 I 0.3512 0.9653 0.6469 1
I5 I 0.3859 0.0347 0.1469 1
I6 I 0.3859 0.3512 0.3531 1
I7 I 0.6141 0.6488 0.6469 1
I8 I 0.6141 0.9653 0.8531 1
I9 I 0.6488 0.0347 0.3531 1
I10 I 0.6488 0.6141 0.1469 1
I11 I 0.9653 0.3512 0.1469 1
I12 I 0.9653 0.6141 0.3531 1
```

---

Record 8
Diffraction record for Zr9Re4O3. The powder diffraction line list is calculated, not measured: it uses DFT lattice parameters and positions (PBE) and a wavelength of 1.5418 Å.
Lines closer than 0.1° are merged.

The 10 most intense peaks (10° ≤ 2θ ≤ 80°), low angle first:
2θ (°), Rel. int.
11.95, 100
33.29, 23
37.89, 81
38.27, 91
39.56, 36
41.68, 17
63.51, 17
65.48, 19
65.83, 26
66.73, 16

Structure:
```
data_Zr9Re4O3
_symmetry_space_group_name_H-M 'P 1'
_symmetry_Int_Tables_number 1
_cell_length_a 8.5532
_cell_length_b 8.5532
_cell_length_c 8.6670
_cell_angle_alpha 90.00
_cell_angle_beta 90.00
_cell_angle_gamma 120.00
loop_
_symmetry_equiv_pos_as_xyz
'x,y,z'
loop_
_atom_site_label
_atom_site_type_symbol
_atom_site_fract_x
_atom_site_fract_y
_atom_site_fract_z
_atom_site_occupancy
Zr1 Zr 0.0938 0.5469 0.2500 1
Zr2 Zr 0.2021 0.4042 0.5605 1
Zr3 Zr 0.2021 0.4042 0.9395 1
Zr4 Zr 0.2021 0.7979 0.5605 1
Zr5 Zr 0.2021 0.7979 0.9395 1
Zr6 Zr 0.4042 0.2021 0.0605 1
Zr7 Zr 0.4042 0.2021 0.4395 1
Zr8 Zr 0.4531 0.5469 0.2500 1
Zr9 Zr 0.4531 0.9062 0.2500 1
Zr10 Zr 0.5469 0.0938 0.7500 1
Zr11 Zr 0.5469 0.4531 0.7500 1
Zr12 Zr 0.5958 0.7979 0.5605 1
Zr13 Zr 0.5958 0.7979 0.9395 1
Zr14 Zr 0.7979 0.2021 0.0605 1
Zr15 Zr 0.7979 0.2021 0.4395 1
Zr16 Zr 0.7979 0.5958 0.0605 1
Zr17 Zr 0.7979 0.5958 0.4395 1
Zr18 Zr 0.9062 0.4531 0.7500 1
Re1 Re 0.0000 0.0000 0.0000 1
Re2 Re 0.0000 0.0000 0.5000 1
Re3 Re 0.1074 0.2147 0.2500 1
Re4 Re 0.1074 0.8926 0.2500 1
Re5 Re 0.2147 0.1074 0.7500 1
Re6 Re 0.7853 0.8926 0.2500 1
Re7 Re 0.8926 0.1074 0.7500 1
Re8 Re 0.8926 0.7853 0.7500 1
O1 O 0.0000 0.5000 0.0000 1
O2 O 0.0000 0.5000 0.5000 1
O3 O 0.5000 0.0000 0.0000 1
O4 O 0.5000 0.0000 0.5000 1
O5 O 0.5000 0.5000 0.0000 1
O6 O 0.5000 0.5000 0.5000 1
```

---

Record 9
Diffraction record for Pm3Tl4SbSe8. The powder diffraction line list is calculated, not measured: it uses DFT lattice parameters and positions (PBE) and a wavelength of 1.5418 Å.
Lines closer than 0.1° are merged.

The 10 most intense peaks (10° ≤ 2θ ≤ 80°), low angle first:
2θ (°), Rel. int.
23.03, 9
25.21, 19
28.58, 100
39.48, 38
42.20, 36
51.75, 19
59.15, 11
65.04, 14
68.91, 16
75.31, 11

Structure:
```
data_Pm3Tl4SbSe8
_symmetry_space_group_name_H-M 'P 1'
_symmetry_Int_Tables_number 1
_cell_length_a 9.1708
_cell_length_b 9.1708
_cell_length_c 9.1708
_cell_angle_alpha 55.69
_cell_angle_beta 55.69
_cell_angle_gamma 55.69
loop_
_symmetry_equiv_pos_as_xyz
'x,y,z'
loop_
_atom_site_label
_atom_site_type_symbol
_atom_site_fract_x
_atom_site_fract_y
_atom_site_fract_z
_atom_site_occupancy
Pm1 Pm 0.0000 0.5000 0.5000 1
Pm2 Pm 0.5000 0.0000 0.5000 1
Pm3 Pm 0.5000 0.5000 0.0000 1
Tl1 Tl 0.0000 0.0000 0.5000 1
Tl2 Tl 0.0000 0.5000 0.0000 1
Tl3 Tl 0.5000 0.0000 0.0000 1
Tl4 Tl 0.5000 0.5000 0.5000 1
Sb1 Sb 0.0000 0.0000 0.0000 1
Se1 Se 0.2339 0.2339 0.7403 1
Se2 Se 0.2339 0.7403 0.2339 1
Se3 Se 0.2596 0.7661 0.7661 1
Se4 Se 0.2633 0.2633 0.2633 1
Se5 Se 0.7367 0.7367 0.7367 1
Se6 Se 0.7403 0.2339 0.2339 1
Se7 Se 0.7661 0.2597 0.7661 1
Se8 Se 0.7661 0.7661 0.2597 1
```

---

Record 10
Diffraction record for Sm6Y2In. The powder diffraction line list is calculated, not measured: it uses DFT lattice parameters and positions (PBE) and a wavelength of 1.5418 Å.
Lines closer than 0.1° are merged.

The 10 most intense peaks (10° ≤ 2θ ≤ 80°), low angle first:
2θ (°), Rel. int.
18.34, 2
30.72, 100
35.20, 34
36.44, 16
50.64, 12
51.57, 23
60.40, 28
62.06, 13
63.98, 12
74.43, 4

Structure:
```
data_Sm6Y2In
_symmetry_space_group_name_H-M 'P 1'
_symmetry_Int_Tables_number 1
_cell_length_a 10.8160
_cell_length_b 10.8160
_cell_length_c 4.9311
_cell_angle_alpha 90.00
_cell_angle_beta 90.00
_cell_angle_gamma 90.00
loop_
_symmetry_equiv_pos_as_xyz
'x,y,z'
loop_
_atom_site_label
_atom_site_type_symbol
_atom_site_fract_x
_atom_site_fract_y
_atom_site_fract_z
_atom_site_occupancy
Sm1 Sm 0.0037 0.3348 0.0000 1
Sm2 Sm 0.1620 0.1620 0.5000 1
Sm3 Sm 0.1652 0.5037 0.5000 1
Sm4 Sm 0.3348 0.0037 0.0000 1
Sm5 Sm 0.3380 0.6620 0.0000 1
Sm6 Sm 0.4963 0.8348 0.5000 1
Sm7 Sm 0.5037 0.1652 0.5000 1
Sm8 Sm 0.6620 0.3380 0.0000 1
Sm9 Sm 0.6652 0.9963 0.0000 1
Sm10 Sm 0.8348 0.4963 0.5000 1
Sm11 Sm 0.8380 0.8380 0.5000 1
Sm12 Sm 0.9963 0.6652 0.0000 1
Y1 Y 0.1585 0.8415 0.5000 1
Y2 Y 0.3415 0.3415 0.0000 1
Y3 Y 0.6585 0.6585 0.0000 1
Y4 Y 0.8415 0.1585 0.5000 1
In1 In 0.0000 0.0000 0.0000 1
In2 In 0.5000 0.5000 0.5000 1
```

---

Record 11
Diffraction record for Li2Co2P. The powder diffraction line list is calculated, not measured: it uses DFT lattice parameters and positions (PBE) and a wavelength of 1.5418 Å.
Lines closer than 0.1° are merged.

The 10 most intense peaks (10° ≤ 2θ ≤ 80°), low angle first:
2θ (°), Rel. int.
20.97, 100
36.51, 34
42.48, 59
42.69, 19
52.59, 16
57.23, 20
57.40, 16
66.18, 3
69.97, 13
78.01, 9

Structure:
```
data_Li2Co2P
_symmetry_space_group_name_H-M 'P 1'
_symmetry_Int_Tables_number 1
_cell_length_a 5.5030
_cell_length_b 5.5030
_cell_length_c 4.2364
_cell_angle_alpha 90.00
_cell_angle_beta 90.00
_cell_angle_gamma 90.00
loop_
_symmetry_equiv_pos_as_xyz
'x,y,z'
loop_
_atom_site_label
_atom_site_type_symbol
_atom_site_fract_x
_atom_site_fract_y
_atom_site_fract_z
_atom_site_occupancy
Li1 Li 0.1694 0.3306 0.0000 1
Li2 Li 0.3306 0.8306 0.0000 1
Li3 Li 0.6694 0.1694 0.0000 1
Li4 Li 0.8306 0.6694 0.0000 1
Co1 Co 0.1460 0.6460 0.5000 1
Co2 Co 0.3540 0.1460 0.5000 1
Co3 Co 0.6460 0.8540 0.5000 1
Co4 Co 0.8540 0.3540 0.5000 1
P1 P 0.0000 0.0000 0.5000 1
P2 P 0.5000 0.5000 0.5000 1
```

---

Record 12
Diffraction record for Tb3Pr4HoS8. The powder diffraction line list is calculated, not measured: it uses DFT lattice parameters and positions (PBE) and a wavelength of 1.5418 Å.
Lines closer than 0.1° are merged.

The 10 most intense peaks (10° ≤ 2θ ≤ 80°), low angle first:
2θ (°), Rel. int.
26.68, 21
27.40, 57
31.53, 100
44.74, 37
45.65, 35
53.66, 19
56.54, 18
65.83, 11
74.15, 16
75.50, 16

Structure:
```
data_Tb3Pr4HoS8
_symmetry_space_group_name_H-M 'P 1'
_symmetry_Int_Tables_number 1
_cell_length_a 8.1062
_cell_length_b 8.1062
_cell_length_c 8.1062
_cell_angle_alpha 58.73
_cell_angle_beta 58.73
_cell_angle_gamma 58.73
loop_
_symmetry_equiv_pos_as_xyz
'x,y,z'
loop_
_atom_site_label
_atom_site_type_symbol
_atom_site_fract_x
_atom_site_fract_y
_atom_site_fract_z
_atom_site_occupancy
Tb1 Tb 0.0000 0.5000 0.5000 1
Tb2 Tb 0.5000 0.0000 0.5000 1
Tb3 Tb 0.5000 0.5000 0.0000 1
Pr1 Pr 0.0000 0.0000 0.5000 1
Pr2 Pr 0.0000 0.5000 0.0000 1
Pr3 Pr 0.5000 0.0000 0.0000 1
Pr4 Pr 0.5000 0.5000 0.5000 1
Ho1 Ho 0.0000 0.0000 0.0000 1
S1 S 0.2425 0.2425 0.7457 1
S2 S 0.2425 0.7457 0.2425 1
S3 S 0.2543 0.7575 0.7575 1
S4 S 0.2559 0.2559 0.2559 1
S5 S 0.7441 0.7441 0.7441 1
S6 S 0.7457 0.2425 0.2425 1
S7 S 0.7575 0.2543 0.7575 1
S8 S 0.7575 0.7575 0.2543 1
```

---

Q: Number 4 is which compound?
A: MnBPdAuI